This entry pairs a crystal structure of Sm4Ho3Er8 with its simulated powder X-ray diffraction pattern. Radiation: Cu Kα (weighted mean of Kα1 and Kα2). Structure: a GGA-PBE-relaxed structure.
Kinematic intensities with the Lorentz-polarization factor, no thermal factor.

Atomic structure:
```
data_Sm4Ho3Er8
_chemical_formula_sum 'Sm12 Ho9 Er24'
_cell_length_a 6.9046
_cell_length_b 6.9046
_cell_length_c 35.1439
_cell_angle_alpha 90.00
_cell_angle_beta 90.00
_cell_angle_gamma 120.00
_space_group_name_H-M_alt 'R -3 m'
_space_group_IT_number 166
_space_group_name_Hall '-R 3 2"'
loop_
_atom_site_label
_atom_site_fract_x
_atom_site_fract_y
_atom_site_fract_z
Sm1 0.0000 0.0000 0.0000
Sm2 0.0000 0.0000 0.1634
Sm3 0.0000 0.0000 0.5000
Ho1 0.0000 0.5000 0.0000
Er1 0.0000 0.0000 0.2552
Er2 0.0019 0.5009 0.2510
```

Most intense lines, 2θ = 5–70°, sorted by position:
30.02 deg, 2.977 Å, I = 24; 30.52 deg, 2.929 Å, I = 55; 31.61 deg, 2.830 Å, I = 100; 36.35 deg, 2.472 Å, I = 73; 51.64 deg, 1.770 Å, I = 23; 53.05 deg, 1.726 Å, I = 36; 61.18 deg, 1.515 Å, I = 16; 62.45 deg, 1.487 Å, I = 43